KLiRuCl6: computed powder X-ray diffraction pattern (copper Kα), based on a crystal structure in Alexandria, relaxed with PBE.
Kinematic intensities with the Lorentz-polarization factor, no thermal factor.

Largest 10 diffraction maxima, in order of rising 2θ, 10° ≤ 2θ ≤ 90°:
(0 0 2), 12.8°, d 6.936, I = 66
(1 0 1), 17.1°, d 5.187, I = 100
(1 0 2), 20.4°, d 4.354, I = 72
(1 0 3), 25.0°, d 3.564, I = 25
(1 1 2), 30.5°, d 2.927, I = 67
(1 1 4), 38.1°, d 2.363, I = 78
(2 1 2), 44.8°, d 2.022, I = 18
(2 1 3), 47.3°, d 1.923, I = 13
(2 -1 6), 48.4°, d 1.880, I = 18
(3 0 0), 48.8°, d 1.865, I = 33

Structural model:
a = 6.4584 Å, b = 6.4584 Å, c = 13.8715 Å
α = 90.00°, β = 90.00°, γ = 120.00°
Space group P-31c (No. 163)
One atom of each set of equivalent atoms:
1 K 0.0000 0.0000 0.0000
2 Li 0.3333 0.6667 0.2500
3 Ru 0.3333 0.6667 0.7500
4 Cl 0.0255 0.3804 0.6522